No. 1
LiFeO2: simulated powder diffraction line list (Cu Ka), based on DFT lattice parameters and positions (GGA+U).
Peak positions follow from Bragg's law for the DFT cell and can differ from measured ones.

Atomic structure:
```
LiFeO2
1.0
-2.985 2.985 4.231
2.985 -2.985 4.231
2.985 2.985 -4.231
Li Fe O
4 4 8
Direct
0.000 0.000 0.000
0.000 0.000 0.500
0.000 0.500 0.000
0.500 0.000 0.500
0.000 0.500 0.500
0.500 0.000 0.000
0.500 0.500 0.000
0.500 0.500 0.500
0.257 0.271 0.514
0.257 0.743 0.514
0.257 0.743 0.986
0.271 0.257 0.014
0.729 0.743 0.986
0.743 0.257 0.014
0.743 0.257 0.486
0.743 0.729 0.486
```

Main lines, by intensity (2θ = 5–70°):
| 2θ (°) | I_rel |
| --- | --- |
| 18.2 | 100 |
| 42.8 | 54 |
| 62.2 | 45 |
| 35.2 | 44 |
| 42.7 | 27 |
| 36.9 | 19 |

---

No. 2
LiFeO2: simulated powder diffraction line list (Cu Ka), based on DFT lattice parameters and positions (GGA+U).
Peak positions follow from Bragg's law for the DFT cell and can differ from measured ones.

Atomic structure:
```
LiFeO2
1.0
-2.945 4.257 2.948
2.945 -4.257 2.948
2.945 4.257 -2.948
Li Fe O
4 4 8
Direct
0.000 0.000 0.000
0.500 0.000 0.000
0.500 0.000 0.500
0.500 0.500 0.500
0.000 0.000 0.500
0.000 0.500 0.000
0.000 0.500 0.500
0.500 0.500 0.000
0.227 0.977 0.250
0.241 0.000 0.741
0.241 0.500 0.241
0.248 0.498 0.750
0.752 0.502 0.250
0.759 0.000 0.259
0.759 0.500 0.759
0.773 0.023 0.750
```

Main lines, by intensity (2θ = 5–70°):
| 2θ (°) | I_rel |
| --- | --- |
| 43.4 | 100 |
| 18.3 | 95 |
| 62.4 | 57 |
| 21.3 | 56 |
| 42.5 | 54 |
| 30.0 | 46 |

---

No. 3
Li3Fe5O12: simulated powder diffraction line list (Cu Ka), based on DFT lattice parameters and positions (GGA+U).
Peak positions follow from Bragg's law for the DFT cell and can differ from measured ones.

Atomic structure:
```
Li3Fe5O12
1.0
5.025 0.000 0.000
2.509 4.359 0.000
1.515 -0.075 20.108
Li Fe O
6 10 24
Direct
0.000 0.000 0.000
0.033 0.681 0.877
0.272 0.686 0.123
0.498 0.997 0.500
0.784 0.677 0.623
0.864 0.994 0.377
0.083 0.335 0.750
0.180 0.656 0.500
0.248 0.002 0.250
0.341 0.319 0.000
0.416 0.668 0.750
0.581 0.335 0.250
0.671 0.658 0.000
0.750 0.002 0.750
0.840 0.326 0.500
0.914 0.668 0.250
0.021 0.363 0.949
0.047 0.007 0.801
0.077 0.668 0.699
0.119 0.367 0.551
0.151 0.991 0.449
0.210 0.691 0.301
0.242 0.349 0.200
0.351 0.983 0.050
0.383 0.619 0.950
0.386 0.330 0.800
0.448 0.006 0.699
0.501 0.630 0.550
0.532 0.347 0.450
0.581 0.689 0.200
0.581 0.982 0.301
0.614 0.365 0.052
0.667 0.981 0.950
0.756 0.670 0.801
0.786 0.329 0.700
0.862 0.985 0.550
0.893 0.629 0.450
0.919 0.321 0.300
0.952 0.978 0.199
0.997 0.620 0.050
```

Main lines, by intensity (2θ = 5–70°):
| 2θ (°) | I_rel |
| --- | --- |
| 17.6 | 100 |
| 36.2 | 18 |
| 43.1 | 17 |
| 43.2 | 17 |
| 43.4 | 17 |
| 8.8 | 10 |

---

No. 4
Li12Fe5O16: simulated powder diffraction line list (Cu Ka), based on DFT lattice parameters and positions (GGA+U).
Peak positions follow from Bragg's law for the DFT cell and can differ from measured ones.

Atomic structure:
```
Li12Fe5O16
1.0
5.870 0.000 0.000
-2.822 5.173 0.000
-0.093 -0.531 9.776
Li Fe O
12 5 16
Direct
0.000 0.000 0.000
0.022 0.543 0.007
0.108 0.753 0.584
0.281 0.519 0.511
0.306 0.121 0.502
0.348 0.655 0.777
0.443 0.396 0.275
0.497 0.001 0.002
0.706 0.529 0.521
0.791 0.652 0.777
0.839 0.176 0.789
0.936 0.396 0.274
0.317 0.141 0.768
0.447 0.903 0.269
0.507 0.509 0.014
0.780 0.086 0.526
0.955 0.907 0.268
0.092 0.208 0.389
0.126 0.757 0.376
0.164 0.844 0.867
0.189 0.319 0.899
0.278 0.062 0.159
0.314 0.587 0.141
0.440 0.415 0.656
0.452 0.960 0.649
0.618 0.217 0.400
0.621 0.761 0.408
0.643 0.330 0.906
0.647 0.803 0.911
0.774 0.048 0.172
0.785 0.593 0.152
0.940 0.408 0.619
0.948 0.952 0.641
```

Main lines, by intensity (2θ = 5–70°):
| 2θ (°) | I_rel |
| --- | --- |
| 19.0 | 100 |
| 17.2 | 48 |
| 19.6 | 30 |
| 19.2 | 28 |
| 9.0 | 23 |
| 45.0 | 23 |

---

No. 5
Li5Fe3O8: simulated powder diffraction line list (Cu Ka), based on DFT lattice parameters and positions (GGA+U).
Peak positions follow from Bragg's law for the DFT cell and can differ from measured ones.

Atomic structure:
```
Li5Fe3O8
1.0
5.814 0.000 0.000
0.000 9.902 0.000
-2.856 0.000 5.078
Li Fe O
10 6 16
Direct
0.158 0.000 0.329
0.161 0.014 0.821
0.170 0.748 0.340
0.336 0.519 0.179
0.338 0.515 0.672
0.662 0.015 0.328
0.664 0.019 0.821
0.830 0.248 0.660
0.839 0.514 0.179
0.842 0.500 0.671
0.168 0.754 0.838
0.330 0.253 0.162
0.330 0.254 0.659
0.670 0.753 0.838
0.670 0.754 0.341
0.832 0.254 0.162
0.001 0.144 0.482
0.005 0.642 0.987
0.170 0.375 0.324
0.180 0.363 0.826
0.330 0.862 0.688
0.339 0.861 0.161
0.477 0.141 0.495
0.494 0.134 0.000
0.506 0.634 0.000
0.523 0.641 0.505
0.661 0.361 0.839
0.670 0.362 0.312
0.820 0.863 0.174
0.830 0.875 0.676
0.995 0.142 0.013
0.999 0.644 0.518
```

Main lines, by intensity (2θ = 5–70°):
| 2θ (°) | I_rel |
| --- | --- |
| 17.9 | 100 |
| 45.1 | 39 |
| 36.6 | 27 |
| 19.7 | 23 |
| 39.9 | 22 |
| 45.4 | 19 |

---

No. 6
LiFe3O4: simulated powder diffraction line list (Cu Ka), based on DFT lattice parameters and positions (GGA+U).
Peak positions follow from Bragg's law for the DFT cell and can differ from measured ones.

Atomic structure:
```
LiFe3O4
1.0
4.345 -4.183 0.000
4.345 4.183 0.000
-4.280 0.000 4.363
Li Fe O
2 6 8
Direct
0.000 0.500 0.000
0.500 0.000 0.500
0.000 0.000 0.000
0.000 0.000 0.500
0.000 0.500 0.500
0.500 0.000 0.000
0.500 0.500 0.000
0.500 0.500 0.500
0.222 0.235 0.979
0.235 0.222 0.479
0.239 0.742 0.498
0.258 0.761 0.002
0.742 0.239 0.998
0.761 0.258 0.502
0.765 0.778 0.521
0.778 0.765 0.021
```

Main lines, by intensity (2θ = 5–70°):
| 2θ (°) | I_rel |
| --- | --- |
| 41.4 | 100 |
| 41.6 | 98 |
| 18.0 | 87 |
| 43.3 | 87 |
| 36.0 | 69 |
| 36.4 | 66 |